Entry 1:
Structure and calculated X-ray powder pattern of Y4CdAg2 (a crystal structure in Alexandria, relaxed with PBE; Cu Kα, 1.54184 Å).

Main lines, in order of falling intensity (2θ from 10° to 90°):
index, d (Å), I (rel.)
1 1 0, 2.509, 1000
1 0 10, 2.351, 522
1 0 1, 4.294, 380
0 1 5, 3.431, 218
2 1 10, 1.416, 197
0 2 10, 1.715, 192
0 1 11, 2.194, 189
1 0 7, 2.940, 172
3 0 0, 1.448, 170
1 0 4, 3.690, 155

Atomic structure:
```
data_Y4CdAg2
_cell_length_a 5.0177
_cell_length_b 5.0177
_cell_length_c 27.9519
_cell_angle_alpha 90.00
_cell_angle_beta 90.00
_cell_angle_gamma 120.00
_space_group_name_H-M_alt 'R -3 m'
_space_group_IT_number 166
_space_group_name_Hall '-R 3 2"'
loop_
_atom_site_label
_atom_site_type_symbol
_atom_site_fract_x
_atom_site_fract_y
_atom_site_fract_z
Y1 Y 0.0000 0.0000 0.1206
Y2 Y 0.0000 0.0000 0.2942
Cd1 Cd 0.0000 0.0000 0.5000
Ag1 Ag 0.0000 0.0000 0.4009
```

***

Entry 2:
Structure and calculated X-ray powder pattern of Y3Cd3Ag (a crystal structure in Alexandria, relaxed with PBE; Cu Kα, 1.54184 Å).

Main lines, in order of falling intensity (2θ from 10° to 90°):
index, d (Å), I (rel.)
1 1 2, 2.763, 1000
0 1 7, 2.517, 916
0 2 0, 2.452, 494
1 0 5, 2.680, 453
2 1 7, 1.447, 307
1 2 5, 1.809, 273
1 1 6, 2.198, 272
1 3 2, 1.469, 213
1 1 4, 2.504, 195
1 0 1, 3.487, 193

Atomic structure:
```
data_Y3Cd3Ag
_cell_length_a 3.5381
_cell_length_b 4.9031
_cell_length_c 20.5300
_cell_angle_alpha 90.00
_cell_angle_beta 90.00
_cell_angle_gamma 90.00
_space_group_name_H-M_alt 'I m m 2'
_space_group_IT_number 44
loop_
_space_group_symop_operation_xyz
'x,y,z'
'-x,-y,z'
'-x,y,z'
'x,-y,z'
'x+1/2,y+1/2,z+1/2'
'-x+1/2,-y+1/2,z+1/2'
'-x+1/2,y+1/2,z+1/2'
'x+1/2,-y+1/2,z+1/2'
loop_
_atom_site_label
_atom_site_type_symbol
_atom_site_fract_x
_atom_site_fract_y
_atom_site_fract_z
Y1 Y 0.0000 0.0000 0.0000
Y2 Y 0.0000 0.0000 0.3952
Y3 Y 0.0000 0.5000 0.2049
Cd1 Cd 0.0000 0.0000 0.5557
Cd2 Cd 0.0000 0.0000 0.8427
Cd3 Cd 0.0000 0.5000 0.6332
Ag1 Ag 0.0000 0.5000 0.7680
```

***

Entry 3:
Structure and calculated X-ray powder pattern of Zn2Cd2Ag7 (a crystal structure in Alexandria, relaxed with PBE; Cu Kα, 1.54184 Å).

Main lines, in order of falling intensity (2θ from 10° to 90°):
index, d (Å), I (rel.)
0 2 3, 2.304, 1000
2 2 -1, 2.322, 816
2 0 2, 2.233, 487
0 4 0, 2.246, 399
2 4 2, 1.583, 240
1 3 1, 2.487, 232
2 2 0, 2.383, 194
0 6 3, 1.308, 179
2 2 5, 1.299, 158
1 3 0, 2.643, 126

Atomic structure:
```
data_Zn2Cd2Ag7
_cell_length_a 5.6351
_cell_length_b 8.9840
_cell_length_c 8.0715
_cell_angle_alpha 90.00
_cell_angle_beta 94.00
_cell_angle_gamma 90.00
_space_group_name_H-M_alt 'C 1 2/m 1'
_space_group_IT_number 12
loop_
_space_group_symop_operation_xyz
'x,y,z'
'-x,-y,-z'
'-x,y,-z'
'x,-y,z'
'x+1/2,y+1/2,z'
'-x+1/2,-y+1/2,-z'
'-x+1/2,y+1/2,-z'
'x+1/2,-y+1/2,z'
loop_
_atom_site_label
_atom_site_type_symbol
_atom_site_fract_x
_atom_site_fract_y
_atom_site_fract_z
Zn1 Zn 0.2000 0.0000 0.3325
Cd1 Cd 0.0000 0.2514 0.5000
Ag1 Ag 0.0000 0.0000 0.0000
Ag2 Ag 0.1224 0.2852 0.8488
Ag3 Ag 0.2145 0.5000 0.3073
```

***

Entry 4:
Structure and calculated X-ray powder pattern of Zn2Cd8Ag3 (a crystal structure in Alexandria, relaxed with PBE; Cu Kα, 1.54184 Å).

Main lines, in order of falling intensity (2θ from 10° to 90°):
index, d (Å), I (rel.)
2 0 2, 2.434, 1000
0 1 11, 2.409, 899
0 2 4, 2.345, 513
1 2 11, 1.545, 425
1 1 0, 2.847, 409
2 0 5, 2.285, 408
2 2 0, 1.424, 383
1 1 6, 2.482, 348
1 1 9, 2.176, 333
1 0 7, 3.258, 251

Atomic structure:
```
data_Zn2Cd8Ag3
_cell_length_a 5.6946
_cell_length_b 5.6946
_cell_length_c 30.3708
_cell_angle_alpha 90.00
_cell_angle_beta 90.00
_cell_angle_gamma 120.00
_space_group_name_H-M_alt 'R -3 m'
_space_group_IT_number 166
_space_group_name_Hall '-R 3 2"'
loop_
_atom_site_label
_atom_site_type_symbol
_atom_site_fract_x
_atom_site_fract_y
_atom_site_fract_z
Zn1 Zn 0.0000 0.0000 0.1369
Cd1 Cd 0.0000 0.0000 0.2206
Cd2 Cd 0.0005 0.5002 0.2737
Ag1 Ag 0.0000 0.0000 0.3134
Ag2 Ag 0.0000 0.0000 0.5000
```

***

Entry 5:
Structure and calculated X-ray powder pattern of Zn3Cd2Ag6 (a crystal structure in Alexandria, relaxed with PBE; Cu Kα, 1.54184 Å).

Main lines, in order of falling intensity (2θ from 10° to 90°):
index, d (Å), I (rel.)
0 1 11, 2.411, 1000
1 0 22, 2.067, 562
0 0 33, 2.320, 223
1 1 0, 1.484, 211
1 1 33, 1.250, 170
2 0 11, 1.264, 117
0 1 44, 1.441, 106
0 2 22, 1.206, 90
0 0 30, 2.551, 68
1 0 19, 2.167, 58

Atomic structure:
```
data_Zn3Cd2Ag6
_cell_length_a 2.9678
_cell_length_b 2.9678
_cell_length_c 76.5545
_cell_angle_alpha 90.00
_cell_angle_beta 90.00
_cell_angle_gamma 120.00
_space_group_name_H-M_alt 'R -3 m'
_space_group_IT_number 166
_space_group_name_Hall '-R 3 2"'
loop_
_atom_site_label
_atom_site_type_symbol
_atom_site_fract_x
_atom_site_fract_y
_atom_site_fract_z
Zn1 Zn 0.0000 0.0000 0.0000
Zn2 Zn 0.0000 0.0000 0.2757
Cd1 Cd 0.0000 0.0000 0.4521
Ag1 Ag 0.0000 0.0000 0.0861
Ag2 Ag 0.0000 0.0000 0.1821
Ag3 Ag 0.0000 0.0000 0.3622
```

***

Entry 6:
Structure and calculated X-ray powder pattern of Zn4Cd2Ag3 (a crystal structure in Alexandria, relaxed with PBE; Cu Kα, 1.54184 Å).

Main lines, in order of falling intensity (2θ from 10° to 90°):
index, d (Å), I (rel.)
0 1 5, 2.186, 1000
1 0 4, 2.297, 498
1 0 0, 2.545, 480
0 0 9, 2.371, 319
1 1 0, 1.470, 307
1 1 9, 1.249, 226
0 1 3, 2.397, 213
1 0 9, 1.735, 186
0 1 14, 1.308, 153
2 0 5, 1.220, 139

Atomic structure:
```
data_Zn4Cd2Ag3
_cell_length_a 2.9392
_cell_length_b 2.9392
_cell_length_c 21.3365
_cell_angle_alpha 90.00
_cell_angle_beta 90.00
_cell_angle_gamma 120.00
_space_group_name_H-M_alt 'P 3 m 1'
_space_group_IT_number 156
loop_
_space_group_symop_operation_xyz
'x,y,z'
'-y,x-y,z'
'-x+y,-x,z'
'-y,-x,z'
'-x+y,y,z'
'x,x-y,z'
loop_
_atom_site_label
_atom_site_type_symbol
_atom_site_fract_x
_atom_site_fract_y
_atom_site_fract_z
Zn1 Zn 0.0000 0.0000 0.0000
Zn2 Zn 0.0000 0.0000 0.2081
Zn3 Zn 0.6667 0.3333 0.6903
Zn4 Zn 0.6667 0.3333 0.8993
Cd1 Cd 0.6667 0.3333 0.3231
Cd2 Cd 0.6667 0.3333 0.5607
Ag1 Ag 0.0000 0.0000 0.4419
Ag2 Ag 0.0000 0.0000 0.7949
Ag3 Ag 0.6667 0.3333 0.1043
```

***

Entry 7:
Structure and calculated X-ray powder pattern of Zn2Cd3Ag8 (a crystal structure in Alexandria, relaxed with PBE; Cu Kα, 1.54184 Å).

Main lines, in order of falling intensity (2θ from 10° to 90°):
index, d (Å), I (rel.)
1 0 -4, 2.380, 1000
3 0 1, 2.338, 866
4 0 -3, 2.258, 841
2 1 -2, 2.408, 777
1 1 2, 2.197, 652
2 1 -1, 2.513, 544
1 1 -1, 2.798, 424
2 1 1, 2.180, 312
5 1 -1, 1.536, 259
3 2 1, 1.255, 257

Atomic structure:
```
data_Zn2Cd3Ag8
_cell_length_a 9.3961
_cell_length_b 2.9738
_cell_length_c 9.7781
_cell_angle_alpha 90.00
_cell_angle_beta 117.87
_cell_angle_gamma 90.00
_space_group_name_H-M_alt 'P 1 2/m 1'
_space_group_IT_number 10
loop_
_space_group_symop_operation_xyz
'x,y,z'
'-x,-y,-z'
'-x,y,-z'
'x,-y,z'
loop_
_atom_site_label
_atom_site_type_symbol
_atom_site_fract_x
_atom_site_fract_y
_atom_site_fract_z
Zn1 Zn 0.0394 0.0000 0.3799
Cd1 Cd 0.4279 0.5000 0.2277
Cd2 Cd 0.5000 0.0000 0.0000
Ag1 Ag 0.1316 0.0000 0.1500
Ag2 Ag 0.1636 0.5000 0.8914
Ag3 Ag 0.2650 0.0000 0.6823
Ag4 Ag 0.3163 0.5000 0.4507
```

***

Entry 8:
Structure and calculated X-ray powder pattern of ZnCdAg5 (a crystal structure in Alexandria, relaxed with PBE; Cu Kα, 1.54184 Å).

Main lines, in order of falling intensity (2θ from 10° to 90°):
index, d (Å), I (rel.)
1 1 2, 2.330, 1000
2 0 0, 2.073, 383
3 1 2, 1.241, 244
1 1 1, 2.739, 186
2 0 4, 1.409, 140
2 2 0, 1.466, 119
0 0 3, 2.561, 107
0 0 4, 1.921, 101
2 0 3, 1.611, 98
1 1 5, 1.361, 94

Atomic structure:
```
data_ZnCdAg5
_cell_length_a 4.1452
_cell_length_b 4.1452
_cell_length_c 7.6834
_cell_angle_alpha 90.00
_cell_angle_beta 90.00
_cell_angle_gamma 90.00
_space_group_name_H-M_alt 'P 4/m m m'
_space_group_IT_number 123
_space_group_name_Hall '-P 4 2'
loop_
_atom_site_label
_atom_site_type_symbol
_atom_site_fract_x
_atom_site_fract_y
_atom_site_fract_z
Zn1 Zn 0.0000 0.0000 0.0000
Cd1 Cd 0.5000 0.5000 0.5000
Ag1 Ag 0.0000 0.0000 0.5000
Ag2 Ag 0.0000 0.5000 0.2186
```